Theoretical powder diffraction line list
Compound: Ba2MgV2Si4O14
Radiation: Cu Ka
Structure: a PBE+U-relaxed structure
Peak positions follow from Bragg's law for the DFT cell and can differ from measured ones.

Structure:
```
data_Ba2MgV2Si4O14
_chemical_formula_sum 'Ba2 Mg1 V2 Si4 O14'
_cell_length_a 5.604
_cell_length_b 7.413
_cell_length_c 8.147
_cell_angle_alpha 89.21
_cell_angle_beta 72.11
_cell_angle_gamma 85.63
_space_group_name_H-M_alt 'P 1'
_space_group_IT_number 1
_space_group_name_Hall 'P 1'
loop_
_atom_site_label
_atom_site_type_symbol
_atom_site_fract_x
_atom_site_fract_y
_atom_site_fract_z
_atom_site_occupancy
Ba1 Ba 0.000 0.000 0.000 1
Ba2 Ba 0.403 0.488 0.172 1
Mg1 Mg 0.041 0.387 0.725 1
V1 V 0.271 0.709 0.647 1
V2 V 0.332 0.996 0.343 1
Si1 Si 0.593 0.210 0.776 1
Si2 Si 0.671 0.772 0.758 1
Si3 Si 0.818 0.716 0.343 1
Si4 Si 0.823 0.276 0.369 1
O1 O 0.088 0.800 0.273 1
O2 O 0.109 0.186 0.272 1
O3 O 0.213 0.947 0.575 1
O4 O 0.259 0.506 0.524 1
O5 O 0.295 0.260 0.826 1
O6 O 0.392 0.704 0.856 1
O7 O 0.616 0.181 0.304 1
O8 O 0.619 0.803 0.247 1
O9 O 0.653 0.989 0.801 1
O10 O 0.682 0.741 0.554 1
O11 O 0.737 0.297 0.898 1
O12 O 0.769 0.273 0.581 1
O13 O 0.843 0.492 0.303 1
O14 O 0.905 0.670 0.806 1
```

Most intense lines, 2θ from 15° to 90°, in order of rising 2θ:
(1 1 0), 2θ 19.81, 4.481 Å, I = 49; (0 1 2), 2θ 26.07, 3.419 Å, I = 44; (1 1 2), 2θ 26.33, 3.385 Å, I = 66; (-1 1 1), 2θ 26.64, 3.347 Å, I = 100; (0 2 1), 2θ 26.83, 3.323 Å, I = 46; (2 0 1), 2θ 32.06, 2.792 Å, I = 63; (1 0 -2), 2θ 32.49, 2.756 Å, I = 70; (1 0 3), 2θ 33.61, 2.667 Å, I = 49